Theoretical powder X-ray diffraction pattern
Compound: SmErTe
Radiation: CuKα
Structure: a structure optimized by DFT (PBE)
Intensities are scaled so that the largest is 100.

Structural model:
```
data_SmErTe
_chemical_formula_sum 'Sm8 Er8 Te8'
_cell_length_a 16.6782
_cell_length_b 4.0100
_cell_length_c 11.1144
_cell_angle_alpha 90.00
_cell_angle_beta 92.87
_cell_angle_gamma 90.00
_symmetry_space_group_name_H-M 'C 1 2/m 1'
_symmetry_Int_Tables_number 12
loop_
_symmetry_equiv_pos_as_xyz
'x,y,z'
'-x,-y,-z'
'-x,y,-z'
'x,-y,z'
'x+1/2,y+1/2,z'
'-x+1/2,-y+1/2,-z'
'-x+1/2,y+1/2,-z'
'x+1/2,-y+1/2,z'
loop_
_atom_site_label
_atom_site_fract_x
_atom_site_fract_y
_atom_site_fract_z
_atom_site_occupancy
Sm1 0.0235 0.0000 0.3512 1
Sm2 0.1154 0.5000 0.8393 1
Er1 0.1919 0.0000 0.0800 1
Er2 0.2492 0.5000 0.3342 1
Te1 0.0729 0.5000 0.1560 1
Te2 0.1191 0.5000 0.5407 1
```

Most intense lines, 10° ≤ 2θ ≤ 90°, in order of rising 2θ:
| index | 2θ (°) | I_rel |
| --- | --- | --- |
| 1 1 -2 | 27.8 | 15 |
| 1 1 2 | 28.1 | 15 |
| 3 1 1 | 28.8 | 43 |
| 4 0 -3 | 31.5 | 44 |
| 0 0 4 | 32.3 | 25 |
| 4 0 3 | 33.2 | 100 |
| 5 1 0 | 35.0 | 45 |
| 0 2 0 | 45.2 | 30 |
| 7 1 4 | 57.0 | 19 |
| 4 2 3 | 57.2 | 15 |